Diffraction record for VCoRe. The X-ray diffraction stick pattern is simulated, not measured: it uses a PBE-relaxed structure and copper Kα.
Peak positions follow from Bragg's law for the DFT cell and can differ from measured ones.

Top 10 peaks for 10° ≤ 2θ ≤ 80°, most intense first:
Position (°2θ)  d/Å  I (rel.)
42.5  2.125  100
43.3  2.090  90
24.2  3.681  81
56.5  1.629  39
78.4  1.220  31
62.3  1.490  30
35.4  2.538  24
77.9  1.227  16
49.5  1.840  13
67.3  1.391  11

Cell and atoms:
```
data_VCoRe
_chemical_formula_sum 'V1 Co1 Re1'
_cell_length_a 4.2499
_cell_length_b 4.2499
_cell_length_c 2.5383
_cell_angle_alpha 90.00
_cell_angle_beta 90.00
_cell_angle_gamma 120.00
_symmetry_space_group_name_H-M 'P 1'
_symmetry_Int_Tables_number 1
loop_
_symmetry_equiv_pos_as_xyz
'x,y,z'
loop_
_atom_site_label
_atom_site_fract_x
_atom_site_fract_y
_atom_site_fract_z
_atom_site_occupancy
V1 0.0000 0.0000 0.0000 1
Co1 0.6667 0.3333 0.5042 1
Re1 0.3333 0.6667 0.4599 1
```

Diffraction record for V2Co6Re. The X-ray diffraction stick pattern is simulated, not measured: it uses a PBE-relaxed structure and copper Kα.
Peak positions follow from Bragg's law for the DFT cell and can differ from measured ones.

Top 10 peaks for 10° ≤ 2θ ≤ 80°, most intense first:
Position (°2θ)  d/Å  I (rel.)
46.7  1.946  100
41.0  2.202  81
21.4  4.160  66
39.2  2.299  62
26.8  3.321  49
55.3  1.661  40
50.4  1.811  27
54.6  1.682  26
79.9  1.201  22
49.6  1.839  18

Cell and atoms:
```
data_V2Co6Re
_chemical_formula_sum 'V2 Co6 Re1'
_cell_length_a 4.8034
_cell_length_b 4.8034
_cell_length_c 5.5162
_cell_angle_alpha 90.00
_cell_angle_beta 90.00
_cell_angle_gamma 120.00
_symmetry_space_group_name_H-M 'P 1'
_symmetry_Int_Tables_number 1
loop_
_symmetry_equiv_pos_as_xyz
'x,y,z'
loop_
_atom_site_label
_atom_site_fract_x
_atom_site_fract_y
_atom_site_fract_z
_atom_site_occupancy
V1 0.3333 0.6667 0.1324 1
V2 0.6667 0.3333 0.8676 1
Co1 0.1758 0.3516 0.6700 1
Co2 0.1758 0.8242 0.6700 1
Co3 0.3516 0.1758 0.3300 1
Co4 0.6484 0.8242 0.6700 1
Co5 0.8242 0.1758 0.3300 1
Co6 0.8242 0.6484 0.3300 1
Re1 0.0000 0.0000 0.0000 1
```

Diffraction record for V2Co6Re. The X-ray diffraction stick pattern is simulated, not measured: it uses a PBE-relaxed structure and copper Kα.
Peak positions follow from Bragg's law for the DFT cell and can differ from measured ones.

Top 10 peaks for 10° ≤ 2θ ≤ 80°, most intense first:
Position (°2θ)  d/Å  I (rel.)
45.4  1.997  100
45.2  2.007  70
41.1  2.195  63
49.2  1.850  60
40.0  2.252  46
22.3  3.995  40
24.3  3.663  39
32.6  2.747  36
48.5  1.876  28
24.7  3.600  26

Cell and atoms:
```
data_V2Co6Re
_chemical_formula_sum 'V2 Co6 Re1'
_cell_length_a 4.5319
_cell_length_b 4.5319
_cell_length_c 6.1835
_cell_angle_alpha 105.38
_cell_angle_beta 105.38
_cell_angle_gamma 63.44
_symmetry_space_group_name_H-M 'P 1'
_symmetry_Int_Tables_number 1
loop_
_symmetry_equiv_pos_as_xyz
'x,y,z'
loop_
_atom_site_label
_atom_site_fract_x
_atom_site_fract_y
_atom_site_fract_z
_atom_site_occupancy
V1 0.1757 0.1757 0.1135 1
V2 0.8243 0.8243 0.8865 1
Co1 0.1768 0.7050 0.3027 1
Co2 0.2774 0.2774 0.5561 1
Co3 0.2950 0.8232 0.6973 1
Co4 0.7050 0.1768 0.3027 1
Co5 0.7226 0.7226 0.4439 1
Co6 0.8232 0.2950 0.6973 1
Re1 0.5000 0.5000 0.0000 1
```

Diffraction record for Co2Re2W. The X-ray diffraction stick pattern is simulated, not measured: it uses a PBE-relaxed structure and copper Kα.
Peak positions follow from Bragg's law for the DFT cell and can differ from measured ones.

Top 10 peaks for 10° ≤ 2θ ≤ 80°, most intense first:
Position (°2θ)  d/Å  I (rel.)
44.4  2.041  100
40.0  2.254  89
42.4  2.130  81
28.0  3.187  45
35.6  2.520  38
65.8  1.420  32
53.0  1.729  27
64.3  1.449  26
77.1  1.237  23
38.3  2.350  22

Cell and atoms:
```
data_Co2Re2W
_chemical_formula_sum 'Co4 Re4 W2'
_cell_length_a 7.1272
_cell_length_b 7.1272
_cell_length_c 2.6571
_cell_angle_alpha 90.00
_cell_angle_beta 90.00
_cell_angle_gamma 90.00
_symmetry_space_group_name_H-M 'P 1'
_symmetry_Int_Tables_number 1
loop_
_symmetry_equiv_pos_as_xyz
'x,y,z'
loop_
_atom_site_label
_atom_site_fract_x
_atom_site_fract_y
_atom_site_fract_z
_atom_site_occupancy
Co1 0.1183 0.3817 0.0000 1
Co2 0.3817 0.8817 0.0000 1
Co3 0.6183 0.1183 0.0000 1
Co4 0.8817 0.6183 0.0000 1
Re1 0.1764 0.6764 0.5000 1
Re2 0.3236 0.1764 0.5000 1
Re3 0.6764 0.8236 0.5000 1
Re4 0.8236 0.3236 0.5000 1
W1 0.0000 0.0000 0.0000 1
W2 0.5000 0.5000 0.0000 1
```

Diffraction record for CoReW2. The X-ray diffraction stick pattern is simulated, not measured: it uses a PBE-relaxed structure and copper Kα.
Peak positions follow from Bragg's law for the DFT cell and can differ from measured ones.

Top 10 peaks for 10° ≤ 2θ ≤ 80°, most intense first:
Position (°2θ)  d/Å  I (rel.)
39.3  2.295  100
46.7  1.944  93
41.1  2.197  92
68.3  1.374  39
27.8  3.208  20
65.0  1.436  10
65.6  1.423  9
37.3  2.412  9
70.7  1.332  9
22.9  3.884  8

Cell and atoms:
```
data_CoReW2
_chemical_formula_sum 'Co1 Re1 W2'
_cell_length_a 2.6635
_cell_length_b 3.8839
_cell_length_c 5.6902
_cell_angle_alpha 90.00
_cell_angle_beta 90.00
_cell_angle_gamma 90.00
_symmetry_space_group_name_H-M 'P 1'
_symmetry_Int_Tables_number 1
loop_
_symmetry_equiv_pos_as_xyz
'x,y,z'
loop_
_atom_site_label
_atom_site_fract_x
_atom_site_fract_y
_atom_site_fract_z
_atom_site_occupancy
Co1 0.0000 0.0000 0.0000 1
Re1 0.5000 0.5000 0.2261 1
W1 0.0000 0.0000 0.4893 1
W2 0.5000 0.5000 0.7703 1
```

Diffraction record for CoReW. The X-ray diffraction stick pattern is simulated, not measured: it uses a PBE-relaxed structure and copper Kα.
Peak positions follow from Bragg's law for the DFT cell and can differ from measured ones.

Top 10 peaks for 10° ≤ 2θ ≤ 80°, most intense first:
Position (°2θ)  d/Å  I (rel.)
38.4  2.346  100
39.4  2.289  85
38.6  2.333  81
43.2  2.094  76
41.3  2.186  56
49.2  1.851  54
34.2  2.623  51
69.0  1.362  28
49.4  1.846  24
68.7  1.366  19

Cell and atoms:
```
data_CoReW
_chemical_formula_sum 'Co4 Re4 W4'
_cell_length_a 9.4503
_cell_length_b 8.8408
_cell_length_c 4.7376
_cell_angle_alpha 82.25
_cell_angle_beta 67.97
_cell_angle_gamma 29.78
_symmetry_space_group_name_H-M 'P 1'
_symmetry_Int_Tables_number 1
loop_
_symmetry_equiv_pos_as_xyz
'x,y,z'
loop_
_atom_site_label
_atom_site_fract_x
_atom_site_fract_y
_atom_site_fract_z
_atom_site_occupancy
Co1 0.0001 0.0001 0.2499 1
Co2 0.9999 0.9999 0.7501 1
Co3 0.2499 0.2499 0.0001 1
Co4 0.7501 0.7501 0.9999 1
Re1 0.0436 0.7064 0.0436 1
Re2 0.2936 0.9564 0.2936 1
Re3 0.7064 0.0436 0.7064 1
Re4 0.9564 0.2936 0.9564 1
W1 0.2977 0.2977 0.4523 1
W2 0.4523 0.4523 0.2977 1
W3 0.5477 0.5477 0.7023 1
W4 0.7023 0.7023 0.5477 1
```

Diffraction record for Zr4Co3Re. The X-ray diffraction stick pattern is simulated, not measured: it uses a PBE-relaxed structure and copper Kα.
Peak positions follow from Bragg's law for the DFT cell and can differ from measured ones.

Top 10 peaks for 10° ≤ 2θ ≤ 80°, most intense first:
Position (°2θ)  d/Å  I (rel.)
39.4  2.288  100
39.5  2.280  99
71.5  1.320  49
57.0  1.615  33
71.8  1.315  16
11.9  7.435  14
22.8  3.902  10
23.8  3.734  10
30.2  2.963  6
46.6  1.949  5

Cell and atoms:
```
data_Zr4Co3Re
_chemical_formula_sum 'Zr4 Co3 Re1'
_cell_length_a 7.8909
_cell_length_b 7.8909
_cell_length_c 7.8909
_cell_angle_alpha 33.71
_cell_angle_beta 33.71
_cell_angle_gamma 33.71
_symmetry_space_group_name_H-M 'P 1'
_symmetry_Int_Tables_number 1
loop_
_symmetry_equiv_pos_as_xyz
'x,y,z'
loop_
_atom_site_label
_atom_site_fract_x
_atom_site_fract_y
_atom_site_fract_z
_atom_site_occupancy
Zr1 0.1239 0.1239 0.1239 1
Zr2 0.3740 0.3740 0.3740 1
Zr3 0.6260 0.6260 0.6260 1
Zr4 0.8761 0.8761 0.8761 1
Co1 0.0000 0.0000 0.0000 1
Co2 0.2502 0.2502 0.2502 1
Co3 0.7498 0.7498 0.7498 1
Re1 0.5000 0.5000 0.5000 1
```

Diffraction record for ZrCo5Re. The X-ray diffraction stick pattern is simulated, not measured: it uses a PBE-relaxed structure and copper Kα.
Peak positions follow from Bragg's law for the DFT cell and can differ from measured ones.

Top 10 peaks for 10° ≤ 2θ ≤ 80°, most intense first:
Position (°2θ)  d/Å  I (rel.)
40.9  2.206  100
48.3  1.886  93
46.1  1.971  85
41.1  2.197  85
38.8  2.318  70
49.3  1.850  65
38.2  2.355  59
44.1  2.053  46
35.6  2.524  46
47.9  1.901  36

Cell and atoms:
```
data_ZrCo5Re
_chemical_formula_sum 'Zr4 Co20 Re4'
_cell_length_a 7.7520
_cell_length_b 4.7092
_cell_length_c 9.7182
_cell_angle_alpha 90.00
_cell_angle_beta 90.00
_cell_angle_gamma 90.00
_symmetry_space_group_name_H-M 'P 1'
_symmetry_Int_Tables_number 1
loop_
_symmetry_equiv_pos_as_xyz
'x,y,z'
loop_
_atom_site_label
_atom_site_fract_x
_atom_site_fract_y
_atom_site_fract_z
_atom_site_occupancy
Zr1 0.2467 0.2500 0.0587 1
Zr2 0.2533 0.7500 0.5587 1
Zr3 0.7467 0.2500 0.4413 1
Zr4 0.7533 0.7500 0.9413 1
Co1 0.0492 0.2500 0.5835 1
Co2 0.0667 0.5045 0.8051 1
Co3 0.0667 0.9955 0.8051 1
Co4 0.0990 0.7500 0.0203 1
Co5 0.1877 0.7500 0.2568 1
Co6 0.3123 0.2500 0.7568 1
Co7 0.4010 0.2500 0.5203 1
Co8 0.4333 0.0045 0.3051 1
Co9 0.4333 0.4955 0.3051 1
Co10 0.4508 0.7500 0.0835 1
Co11 0.5492 0.2500 0.9165 1
Co12 0.5667 0.5045 0.6949 1
Co13 0.5667 0.9955 0.6949 1
Co14 0.5990 0.7500 0.4797 1
Co15 0.6877 0.7500 0.2432 1
Co16 0.8123 0.2500 0.7432 1
Co17 0.9010 0.2500 0.9797 1
Co18 0.9333 0.0045 0.1949 1
Co19 0.9333 0.4955 0.1949 1
Co20 0.9508 0.7500 0.4165 1
Re1 0.1402 0.2500 0.3512 1
Re2 0.3598 0.7500 0.8512 1
Re3 0.6402 0.2500 0.1488 1
Re4 0.8598 0.7500 0.6488 1
```

Diffraction record for Zr2CoRe3. The X-ray diffraction stick pattern is simulated, not measured: it uses a PBE-relaxed structure and copper Kα.
Peak positions follow from Bragg's law for the DFT cell and can differ from measured ones.

Top 10 peaks for 10° ≤ 2θ ≤ 80°, most intense first:
Position (°2θ)  d/Å  I (rel.)
40.8  2.214  100
42.6  2.123  87
40.6  2.225  73
20.6  4.322  62
34.1  2.629  40
40.1  2.246  39
71.8  1.314  31
41.8  2.161  29
72.9  1.297  29
49.3  1.847  28

Cell and atoms:
```
data_Zr2CoRe3
_chemical_formula_sum 'Zr2 Co1 Re3'
_cell_length_a 5.2586
_cell_length_b 5.2586
_cell_length_c 5.2586
_cell_angle_alpha 59.13
_cell_angle_beta 59.13
_cell_angle_gamma 59.13
_symmetry_space_group_name_H-M 'P 1'
_symmetry_Int_Tables_number 1
loop_
_symmetry_equiv_pos_as_xyz
'x,y,z'
loop_
_atom_site_label
_atom_site_fract_x
_atom_site_fract_y
_atom_site_fract_z
_atom_site_occupancy
Zr1 0.1239 0.1239 0.1239 1
Zr2 0.8761 0.8761 0.8761 1
Co1 0.5000 0.5000 0.5000 1
Re1 0.0000 0.5000 0.5000 1
Re2 0.5000 0.0000 0.5000 1
Re3 0.5000 0.5000 0.0000 1
```

Diffraction record for CoRh3. The X-ray diffraction stick pattern is simulated, not measured: it uses a PBE-relaxed structure and copper Kα.
Peak positions follow from Bragg's law for the DFT cell and can differ from measured ones.

Top 10 peaks for 10° ≤ 2θ ≤ 80°, most intense first:
Position (°2θ)  d/Å  I (rel.)
41.4  2.179  100
47.6  1.909  34
71.0  1.327  19
49.4  1.846  15
69.7  1.350  10
35.4  2.535  4
12.0  7.383  3
36.5  2.461  2
73.0  1.295  2
61.5  1.508  2

Cell and atoms:
```
data_CoRh3
_chemical_formula_sum 'Co1 Rh3'
_cell_length_a 2.6992
_cell_length_b 2.6992
_cell_length_c 7.3828
_cell_angle_alpha 90.00
_cell_angle_beta 90.00
_cell_angle_gamma 90.00
_symmetry_space_group_name_H-M 'P 1'
_symmetry_Int_Tables_number 1
loop_
_symmetry_equiv_pos_as_xyz
'x,y,z'
loop_
_atom_site_label
_atom_site_fract_x
_atom_site_fract_y
_atom_site_fract_z
_atom_site_occupancy
Co1 0.0000 0.0000 0.0000 1
Rh1 0.0000 0.0000 0.5000 1
Rh2 0.5000 0.5000 0.2381 1
Rh3 0.5000 0.5000 0.7619 1
```

Diffraction record for Co5Rh6. The X-ray diffraction stick pattern is simulated, not measured: it uses a PBE-relaxed structure and copper Kα.
Peak positions follow from Bragg's law for the DFT cell and can differ from measured ones.

Top 10 peaks for 10° ≤ 2θ ≤ 80°, most intense first:
Position (°2θ)  d/Å  I (rel.)
43.3  2.090  100
45.6  1.989  25
32.3  2.771  17
41.1  2.198  16
47.1  1.931  15
67.6  1.385  10
28.0  3.184  7
57.9  1.592  6
64.7  1.440  6
72.4  1.305  6

Cell and atoms:
```
data_Co5Rh6
_chemical_formula_sum 'Co5 Rh6'
_cell_length_a 6.9034
_cell_length_b 6.9034
_cell_length_c 6.9034
_cell_angle_alpha 146.51
_cell_angle_beta 125.07
_cell_angle_gamma 65.89
_symmetry_space_group_name_H-M 'P 1'
_symmetry_Int_Tables_number 1
loop_
_symmetry_equiv_pos_as_xyz
'x,y,z'
loop_
_atom_site_label
_atom_site_fract_x
_atom_site_fract_y
_atom_site_fract_z
_atom_site_occupancy
Co1 0.0000 0.0000 0.0000 1
Co2 0.1525 0.6525 0.5000 1
Co3 0.2979 0.2979 0.0000 1
Co4 0.7021 0.7021 0.0000 1
Co5 0.8475 0.3475 0.5000 1
Rh1 0.1302 0.8465 0.2837 1
Rh2 0.2907 0.5000 0.7907 1
Rh3 0.4372 0.1535 0.2837 1
Rh4 0.5628 0.8465 0.7163 1
Rh5 0.7093 0.5000 0.2093 1
Rh6 0.8698 0.1535 0.7163 1
```

Diffraction record for Co2Rh. The X-ray diffraction stick pattern is simulated, not measured: it uses a PBE-relaxed structure and copper Kα.
Peak positions follow from Bragg's law for the DFT cell and can differ from measured ones.

Top 10 peaks for 10° ≤ 2θ ≤ 80°, most intense first:
Position (°2θ)  d/Å  I (rel.)
42.8  2.114  100
49.6  1.838  16
50.0  1.824  16
49.8  1.831  15
73.1  1.295  9
72.9  1.297  9
73.3  1.292  9
24.4  3.648  4
34.6  2.594  3
35.6  2.520  2

Cell and atoms:
```
data_Co2Rh
_chemical_formula_sum 'Co4 Rh2'
_cell_length_a 5.7923
_cell_length_b 5.7923
_cell_length_c 3.6480
_cell_angle_alpha 90.00
_cell_angle_beta 90.00
_cell_angle_gamma 143.01
_symmetry_space_group_name_H-M 'P 1'
_symmetry_Int_Tables_number 1
loop_
_symmetry_equiv_pos_as_xyz
'x,y,z'
loop_
_atom_site_label
_atom_site_fract_x
_atom_site_fract_y
_atom_site_fract_z
_atom_site_occupancy
Co1 0.0000 0.0000 0.0000 1
Co2 0.1613 0.8387 0.5000 1
Co3 0.5000 0.5000 0.5000 1
Co4 0.8387 0.1613 0.5000 1
Rh1 0.3374 0.6626 0.0000 1
Rh2 0.6626 0.3374 0.0000 1
```

Diffraction record for CoRh. The X-ray diffraction stick pattern is simulated, not measured: it uses a PBE-relaxed structure and copper Kα.
Peak positions follow from Bragg's law for the DFT cell and can differ from measured ones.

Top 10 peaks for 10° ≤ 2θ ≤ 80°, most intense first:
Position (°2θ)  d/Å  I (rel.)
42.2  2.141  100
49.3  1.849  31
71.9  1.313  19
48.8  1.865  16
26.9  3.313  11
72.3  1.307  9
43.9  2.063  3
57.0  1.615  3
68.1  1.377  2
67.7  1.384  1

Cell and atoms:
```
data_CoRh
_chemical_formula_sum 'Co2 Rh2'
_cell_length_a 4.5551
_cell_length_b 4.5551
_cell_length_c 4.5551
_cell_angle_alpha 132.10
_cell_angle_beta 132.10
_cell_angle_gamma 70.07
_symmetry_space_group_name_H-M 'P 1'
_symmetry_Int_Tables_number 1
loop_
_symmetry_equiv_pos_as_xyz
'x,y,z'
loop_
_atom_site_label
_atom_site_fract_x
_atom_site_fract_y
_atom_site_fract_z
_atom_site_occupancy
Co1 0.3750 0.6250 0.7500 1
Co2 0.6250 0.3750 0.2500 1
Rh1 0.1250 0.8750 0.2500 1
Rh2 0.8750 0.1250 0.7500 1
```

Diffraction record for Co3Rh2. The X-ray diffraction stick pattern is simulated, not measured: it uses a PBE-relaxed structure and copper Kα.
Peak positions follow from Bragg's law for the DFT cell and can differ from measured ones.

Top 10 peaks for 10° ≤ 2θ ≤ 80°, most intense first:
Position (°2θ)  d/Å  I (rel.)
42.3  2.139  100
49.5  1.840  61
43.4  2.084  30
71.8  1.314  19
73.5  1.288  17
17.0  5.210  8
25.6  3.473  6
41.3  2.185  4
39.7  2.270  4
57.9  1.594  2

Cell and atoms:
```
data_Co3Rh2
_chemical_formula_sum 'Co3 Rh2'
_cell_length_a 10.5295
_cell_length_b 10.5295
_cell_length_c 10.5295
_cell_angle_alpha 14.34
_cell_angle_beta 14.34
_cell_angle_gamma 14.34
_symmetry_space_group_name_H-M 'P 1'
_symmetry_Int_Tables_number 1
loop_
_symmetry_equiv_pos_as_xyz
'x,y,z'
loop_
_atom_site_label
_atom_site_fract_x
_atom_site_fract_y
_atom_site_fract_z
_atom_site_occupancy
Co1 0.0000 0.0000 0.0000 1
Co2 0.1973 0.1973 0.1973 1
Co3 0.8027 0.8027 0.8027 1
Rh1 0.4006 0.4006 0.4006 1
Rh2 0.5994 0.5994 0.5994 1
```

Diffraction record for CoRh. The X-ray diffraction stick pattern is simulated, not measured: it uses a PBE-relaxed structure and copper Kα.
Peak positions follow from Bragg's law for the DFT cell and can differ from measured ones.

Top 10 peaks for 10° ≤ 2θ ≤ 80°, most intense first:
Position (°2θ)  d/Å  I (rel.)
41.7  2.168  100
43.1  2.099  95
46.0  1.975  52
46.1  1.968  42
67.1  1.394  32
45.2  2.005  16
55.5  1.656  11
71.5  1.319  11
33.1  2.705  10
25.6  3.480  9

Cell and atoms:
```
data_CoRh
_chemical_formula_sum 'Co3 Rh3'
_cell_length_a 2.6381
_cell_length_b 3.9367
_cell_length_c 7.5596
_cell_angle_alpha 90.00
_cell_angle_beta 99.97
_cell_angle_gamma 90.00
_symmetry_space_group_name_H-M 'P 1'
_symmetry_Int_Tables_number 1
loop_
_symmetry_equiv_pos_as_xyz
'x,y,z'
loop_
_atom_site_label
_atom_site_fract_x
_atom_site_fract_y
_atom_site_fract_z
_atom_site_occupancy
Co1 0.0000 0.0000 0.0000 1
Co2 0.0819 0.5000 0.1648 1
Co3 0.8360 0.0000 0.6731 1
Rh1 0.2515 0.5000 0.5052 1
Rh2 0.4301 0.5000 0.8594 1
Rh3 0.6548 0.0000 0.3116 1
```